1.
Structure and calculated XRD peak list of ZnMo2O4 (DFT lattice parameters and positions (GGA+U); Cu Kα (λ = 1.5418 Å)).
Kinematic intensities with the Lorentz-polarization factor, no thermal factor.

Cell and atoms:
Cell: 6.3349 6.3349 6.3349 Å, 60.00 60.00 60.00°
Fractional positions:
1 Zn 0.1250 0.1250 0.1250
2 Zn 0.8750 0.8750 0.8750
3 Mo 0.0000 0.5000 0.5000
4 Mo 0.5000 0.0000 0.5000
5 Mo 0.5000 0.5000 0.0000
6 Mo 0.5000 0.5000 0.5000
7 O 0.2570 0.2570 0.2570
8 O 0.2570 0.2570 0.7289
9 O 0.2570 0.7289 0.2570
10 O 0.2711 0.7430 0.7430
11 O 0.7289 0.2570 0.2570
12 O 0.7430 0.2711 0.7430
13 O 0.7430 0.7430 0.2711
14 O 0.7430 0.7430 0.7430

Peak list (10 most intense, 5° ≤ 2θ ≤ 70°, low angle first)
- 17.14°, I = 22
- 28.17°, I = 18
- 33.17°, I = 100
- 34.69°, I = 23
- 40.27°, I = 23
- 49.87°, I = 7
- 53.12°, I = 36
- 58.26°, I = 45
- 68.70°, I = 11
- 69.61°, I = 11

2.
Structure and calculated XRD peak list of ZnMo2O4 (DFT lattice parameters and positions (GGA+U); Cu Kα (λ = 1.5418 Å)).
Kinematic intensities with the Lorentz-polarization factor, no thermal factor.

Cell and atoms:
Cell: 6.4604 6.4604 6.4604 Å, 124.38 123.07 83.67°
Fractional positions:
1 Zn 0.5000 0.0000 0.0000
2 Zn 0.5000 0.5000 0.5000
3 Mo 0.0000 0.0000 0.0000
4 Mo 0.1207 0.3707 0.7500
5 Mo 0.5000 0.0000 0.5000
6 Mo 0.8793 0.6293 0.2500
7 O 0.2234 0.2240 0.9994
8 O 0.2753 0.2770 0.5017
9 O 0.2753 0.7736 0.9983
10 O 0.2753 0.7760 0.4994
11 O 0.7247 0.2240 0.5006
12 O 0.7247 0.2264 0.0017
13 O 0.7247 0.7230 0.4983
14 O 0.7766 0.7760 0.0006

Peak list (10 most intense, 5° ≤ 2θ ≤ 70°, low angle first)
- 27.79°, I = 56
- 29.64°, I = 19
- 31.43°, I = 30
- 31.58°, I = 51
- 33.99°, I = 100
- 34.41°, I = 72
- 34.58°, I = 20
- 49.71°, I = 18
- 55.43°, I = 23
- 57.41°, I = 70

3.
Structure and calculated XRD peak list of Zn2Mo2O5 (DFT lattice parameters and positions (GGA+U); Cu Kα (λ = 1.5418 Å)).
Kinematic intensities with the Lorentz-polarization factor, no thermal factor.

Cell and atoms:
Cell: 3.3861 5.1701 14.9190 Å, 90.00 90.00 90.00°
Fractional positions:
1 Zn 0.0000 0.0144 0.0000
2 Zn 0.0000 0.4813 0.3826
3 Zn 0.0000 0.5187 0.8826
4 Zn 0.0000 0.9856 0.5000
5 Mo 0.5000 0.0132 0.7828
6 Mo 0.5000 0.4908 0.5935
7 Mo 0.5000 0.5092 0.0935
8 Mo 0.5000 0.9868 0.2828
9 O 0.0000 0.0813 0.3594
10 O 0.0000 0.3982 0.0139
11 O 0.0000 0.6018 0.5139
12 O 0.0000 0.9187 0.8594
13 O 0.5000 0.1442 0.5239
14 O 0.5000 0.1982 0.1844
15 O 0.5000 0.3770 0.8351
16 O 0.5000 0.6230 0.3351
17 O 0.5000 0.8018 0.6844
18 O 0.5000 0.8558 0.0239

Peak list (10 most intense, 5° ≤ 2θ ≤ 70°, low angle first)
- 20.91°, I = 25
- 23.86°, I = 25
- 28.96°, I = 58
- 29.53°, I = 93
- 33.85°, I = 100
- 34.70°, I = 49
- 45.24°, I = 25
- 45.81°, I = 23
- 58.25°, I = 30
- 61.66°, I = 26

4.
Structure and calculated XRD peak list of ZnMo2O4 (DFT lattice parameters and positions (GGA+U); Cu Kα (λ = 1.5418 Å)).
Kinematic intensities with the Lorentz-polarization factor, no thermal factor.

Cell and atoms:
Cell: 3.1585 10.3018 10.4438 Å, 90.00 90.00 90.00°
Fractional positions:
1 Zn 0.0467 0.1465 0.2500
2 Zn 0.0467 0.3535 0.7500
3 Zn 0.9533 0.6465 0.2500
4 Zn 0.9533 0.8535 0.7500
5 Mo 0.3003 0.6177 0.5730
6 Mo 0.3003 0.6177 0.9270
7 Mo 0.3003 0.8823 0.0730
8 Mo 0.3003 0.8823 0.4270
9 Mo 0.6997 0.1177 0.5730
10 Mo 0.6997 0.1177 0.9270
11 Mo 0.6997 0.3823 0.0730
12 Mo 0.6997 0.3823 0.4270
13 O 0.1941 0.2500 0.0000
14 O 0.1941 0.2500 0.5000
15 O 0.1990 0.5189 0.1121
16 O 0.1990 0.5189 0.3879
17 O 0.1990 0.9811 0.6121
18 O 0.1990 0.9811 0.8879
19 O 0.4242 0.7253 0.7500
20 O 0.4242 0.7747 0.2500
21 O 0.5758 0.2253 0.7500
22 O 0.5758 0.2747 0.2500
23 O 0.8010 0.0189 0.1121
24 O 0.8010 0.0189 0.3879
25 O 0.8010 0.4811 0.6121
26 O 0.8010 0.4811 0.8879
27 O 0.8059 0.7500 0.0000
28 O 0.8059 0.7500 0.5000

Peak list (10 most intense, 5° ≤ 2θ ≤ 70°, low angle first)
- 29.58°, I = 20
- 31.01°, I = 100
- 34.36°, I = 36
- 34.84°, I = 22
- 38.72°, I = 29
- 39.50°, I = 15
- 42.57°, I = 19
- 46.99°, I = 16
- 59.82°, I = 15
- 60.08°, I = 16

5.
Structure and calculated XRD peak list of ZnMo2O6 (DFT lattice parameters and positions (GGA+U); Cu Kα (λ = 1.5418 Å)).
Kinematic intensities with the Lorentz-polarization factor, no thermal factor.

Cell and atoms:
Cell: 5.3232 5.5089 9.2570 Å, 90.00 124.33 90.00°
Fractional positions:
1 Zn 0.0000 0.2142 0.0000
2 Zn 0.0000 0.7858 0.5000
3 Mo 0.2505 0.2475 0.7453
4 Mo 0.2505 0.7525 0.2453
5 Mo 0.7383 0.2661 0.2460
6 Mo 0.7383 0.7339 0.7460
7 O 0.0053 0.0639 0.1936
8 O 0.0053 0.9361 0.6936
9 O 0.0745 0.2746 0.5053
10 O 0.0745 0.7254 0.0053
11 O 0.3613 0.2271 0.9957
12 O 0.3613 0.7729 0.4957
13 O 0.4916 0.4573 0.2981
14 O 0.4916 0.5427 0.7981
15 O 0.6226 0.0576 0.8064
16 O 0.6226 0.9424 0.3064
17 O 0.8989 0.4652 0.7083
18 O 0.8989 0.5348 0.2083

Peak list (10 most intense, 5° ≤ 2θ ≤ 70°, low angle first)
- 19.87°, I = 23
- 23.25°, I = 100
- 32.51°, I = 37
- 32.96°, I = 70
- 33.29°, I = 66
- 33.68°, I = 31
- 47.53°, I = 61
- 58.81°, I = 17
- 59.56°, I = 18
- 60.19°, I = 18

6.
Structure and calculated XRD peak list of Zr9Mo4O3 (DFT lattice parameters and positions (GGA+U); Cu Kα (λ = 1.5418 Å)).
Kinematic intensities with the Lorentz-polarization factor, no thermal factor.

Cell and atoms:
Cell: 8.7282 8.7282 8.5518 Å, 90.00 90.00 120.00°
Fractional positions:
1 Zr 0.0929 0.5464 0.2500
2 Zr 0.2061 0.4123 0.5638
3 Zr 0.2061 0.4123 0.9362
4 Zr 0.2061 0.7939 0.5638
5 Zr 0.2061 0.7939 0.9362
6 Zr 0.4123 0.2061 0.0638
7 Zr 0.4123 0.2061 0.4362
8 Zr 0.4536 0.5464 0.2500
9 Zr 0.4536 0.9071 0.2500
10 Zr 0.5464 0.0929 0.7500
11 Zr 0.5464 0.4536 0.7500
12 Zr 0.5877 0.7939 0.5638
13 Zr 0.5877 0.7939 0.9362
14 Zr 0.7939 0.2061 0.0638
15 Zr 0.7939 0.2061 0.4362
16 Zr 0.7939 0.5877 0.0638
17 Zr 0.7939 0.5877 0.4362
18 Zr 0.9071 0.4536 0.7500
19 Mo 0.0000 0.0000 0.0000
20 Mo 0.0000 0.0000 0.5000
21 Mo 0.1084 0.2167 0.2500
22 Mo 0.1084 0.8916 0.2500
23 Mo 0.2167 0.1084 0.7500
24 Mo 0.7833 0.8916 0.2500
25 Mo 0.8916 0.1084 0.7500
26 Mo 0.8916 0.7833 0.7500
27 O 0.0000 0.5000 0.0000
28 O 0.0000 0.5000 0.5000
29 O 0.5000 0.0000 0.0000
30 O 0.5000 0.0000 0.5000
31 O 0.5000 0.5000 0.0000
32 O 0.5000 0.5000 0.5000

Peak list (10 most intense, 5° ≤ 2θ ≤ 70°, low angle first)
- 31.31°, I = 19
- 33.60°, I = 43
- 35.63°, I = 27
- 37.20°, I = 100
- 37.87°, I = 98
- 39.60°, I = 43
- 62.71°, I = 32
- 64.00°, I = 24
- 65.49°, I = 24
- 66.02°, I = 32

7.
Structure and calculated XRD peak list of ZrMo2O8 (DFT lattice parameters and positions (GGA+U); Cu Kα (λ = 1.5418 Å)).
Kinematic intensities with the Lorentz-polarization factor, no thermal factor.

Cell and atoms:
Cell: 5.9082 5.9082 6.0340 Å, 91.60 91.60 61.07°
Fractional positions:
1 Zr 0.0000 0.0000 0.0000
2 Mo 0.3288 0.3288 0.2895
3 Mo 0.6712 0.6712 0.7105
4 O 0.1439 0.6455 0.1642
5 O 0.1506 0.1506 0.2501
6 O 0.3545 0.8561 0.8358
7 O 0.3621 0.3621 0.5725
8 O 0.6379 0.6379 0.4275
9 O 0.6455 0.1439 0.1642
10 O 0.8494 0.8494 0.7499
11 O 0.8561 0.3545 0.8358

Peak list (10 most intense, 5° ≤ 2θ ≤ 70°, low angle first)
- 22.47°, I = 100
- 23.24°, I = 41
- 29.77°, I = 20
- 30.27°, I = 36
- 34.69°, I = 14
- 45.86°, I = 14
- 48.68°, I = 11
- 48.94°, I = 18
- 50.14°, I = 8
- 56.06°, I = 7

8.
Structure and calculated XRD peak list of ZrMo2O8 (DFT lattice parameters and positions (GGA+U); Cu Kα (λ = 1.5418 Å)).
Kinematic intensities with the Lorentz-polarization factor, no thermal factor.

Cell and atoms:
Cell: 6.0033 7.4364 9.3340 Å, 90.00 90.00 90.00°
Fractional positions:
1 Zr 0.0000 0.2379 0.0000
2 Zr 0.5000 0.7621 0.5000
3 Mo 0.0000 0.0764 0.3996
4 Mo 0.0000 0.5453 0.6767
5 Mo 0.5000 0.4547 0.1767
6 Mo 0.5000 0.9236 0.8996
7 O 0.0000 0.1199 0.2093
8 O 0.0000 0.2783 0.4930
9 O 0.0000 0.3464 0.7948
10 O 0.0000 0.7216 0.7961
11 O 0.2441 0.9451 0.4480
12 O 0.2451 0.4174 0.0736
13 O 0.2549 0.5826 0.5736
14 O 0.2559 0.0549 0.9480
15 O 0.5000 0.2784 0.2961
16 O 0.5000 0.6536 0.2948
17 O 0.5000 0.7217 0.9930
18 O 0.5000 0.8801 0.7093
19 O 0.7441 0.0549 0.9480
20 O 0.7451 0.5826 0.5736
21 O 0.7549 0.4174 0.0736
22 O 0.7559 0.9451 0.4480

Peak list (10 most intense, 5° ≤ 2θ ≤ 70°, low angle first)
- 15.23°, I = 48
- 19.00°, I = 58
- 21.27°, I = 100
- 22.49°, I = 74
- 27.01°, I = 44
- 28.23°, I = 20
- 29.81°, I = 78
- 32.41°, I = 28
- 37.60°, I = 23
- 52.84°, I = 18

9.
Structure and calculated XRD peak list of ZrMo2O8 (DFT lattice parameters and positions (GGA+U); Cu Kα (λ = 1.5418 Å)).
Kinematic intensities with the Lorentz-polarization factor, no thermal factor.

Cell and atoms:
Cell: 5.9599 5.9599 6.5814 Å, 90.00 90.00 120.00°
Fractional positions:
1 Zr 0.0000 0.0000 0.0000
2 Mo 0.3333 0.6667 0.2758
3 Mo 0.6667 0.3333 0.7242
4 O 0.1673 0.3345 0.1828
5 O 0.1673 0.8327 0.1828
6 O 0.3333 0.6667 0.5381
7 O 0.3345 0.1673 0.8172
8 O 0.6655 0.8327 0.1828
9 O 0.6667 0.3333 0.4619
10 O 0.8327 0.1673 0.8172
11 O 0.8327 0.6655 0.8172

Peak list (10 most intense, 5° ≤ 2θ ≤ 70°, low angle first)
- 21.88°, I = 100
- 29.99°, I = 35
- 32.26°, I = 18
- 37.43°, I = 8
- 44.62°, I = 14
- 44.89°, I = 9
- 48.68°, I = 21
- 54.70°, I = 8
- 62.32°, I = 8
- 66.89°, I = 8

- What is the formula in the fourth record?
  ZnMo2O4